Record 1
Structure and theoretical PXRD pattern of LiSmHf2N4 (a GGA-PBE-relaxed structure; Cu Kα X-rays).
Lines closer than 0.1° are merged.

Crystal structure
abc: 5.5939 5.5939 11.0009
angles: 90.00 90.00 146.05
Positions (direct):
Li1 0.1589 0.8411 0.7500
Li2 0.8411 0.1589 0.2500
Sm1 0.1065 0.8935 0.2500
Sm2 0.8935 0.1065 0.7500
Hf1 0.3663 0.6337 0.0579
Hf2 0.3663 0.6337 0.4421
Hf3 0.6337 0.3663 0.5579
Hf4 0.6337 0.3663 0.9421
N1 0.0000 0.0000 0.0000
N2 0.0000 0.0000 0.5000
N3 0.2627 0.7373 0.6105
N4 0.2627 0.7373 0.8895
N5 0.4416 0.5584 0.2500
N6 0.5584 0.4416 0.7500
N7 0.7373 0.2627 0.1105
N8 0.7373 0.2627 0.3895

Main lines, most intense first (10° ≤ 2θ ≤ 90°):
2θ (°), I_rel
29.53, 100.0
32.97, 56.7
40.90, 39.7
33.50, 36.2
50.75, 29.4
29.73, 29.2


Record 2
Structure and theoretical PXRD pattern of LiTmHf2N4 (a GGA-PBE-relaxed structure; Cu Kα X-rays).
Lines closer than 0.1° are merged.

Crystal structure
abc: 5.5470 3.2574 5.6761
angles: 90.00 108.31 90.00
Positions (direct):
Li1 0.0000 0.0000 0.0000
Tm1 0.5000 0.5000 0.0000
Hf1 0.0000 0.5000 0.5000
Hf2 0.5000 0.0000 0.5000
N1 0.2440 0.0000 0.7299
N2 0.2663 0.5000 0.2819
N3 0.7337 0.5000 0.7181
N4 0.7560 0.0000 0.2701

Main lines, most intense first (10° ≤ 2θ ≤ 90°):
2θ (°), I_rel
38.94, 100.0
33.85, 97.4
33.25, 51.6
34.05, 48.0
39.64, 47.6
16.45, 45.1


Record 3
Structure and theoretical PXRD pattern of LiY2HfN (a GGA-PBE-relaxed structure; Cu Kα X-rays).
Lines closer than 0.1° are merged.

Crystal structure
abc: 4.9669 4.9669 4.3023
angles: 90.00 90.00 90.00
Positions (direct):
Li1 0.0000 0.0000 0.0000
Y1 0.0000 0.5000 0.5000
Y2 0.5000 0.0000 0.5000
Hf1 0.5000 0.5000 0.0000
N1 0.5000 0.5000 0.5000

Main lines, most intense first (10° ≤ 2θ ≤ 90°):
2θ (°), I_rel
32.92, 100.0
17.86, 63.4
36.17, 45.0
27.43, 31.8
63.00, 30.9
45.98, 27.4


Record 4
Structure and theoretical PXRD pattern of Li2Hf2NpTe6 (a GGA-PBE-relaxed structure; Cu Kα X-rays).
Lines closer than 0.1° are merged.

Crystal structure
abc: 7.1780 7.1780 7.4884
angles: 98.99 98.99 120.23
Positions (direct):
Li1 0.1599 0.8401 0.0000
Li2 0.8401 0.1599 0.0000
Hf1 0.3337 0.6663 0.5000
Hf2 0.6663 0.3337 0.5000
Np1 0.0000 0.0000 0.5000
Te1 0.0814 0.4327 0.7492
Te2 0.2722 0.2722 0.2501
Te3 0.4327 0.0814 0.7492
Te4 0.5673 0.9186 0.2508
Te5 0.7278 0.7278 0.7499
Te6 0.9186 0.5673 0.2508

Main lines, most intense first (10° ≤ 2θ ≤ 90°):
2θ (°), I_rel
29.97, 100.0
12.45, 70.8
30.16, 48.8
42.28, 39.1
43.79, 34.1
53.97, 27.4


Record 5
Structure and theoretical PXRD pattern of Li8HfO6 (a GGA-PBE-relaxed structure; Cu Kα X-rays).
Lines closer than 0.1° are merged.

Crystal structure
abc: 5.7210 5.7210 10.9314
angles: 90.00 90.00 120.00
Positions (direct):
Li1 0.0000 0.3165 0.0000
Li2 0.0000 0.4159 0.3572
Li3 0.0000 0.5841 0.8572
Li4 0.0000 0.6835 0.5000
Li5 0.3165 0.0000 0.0000
Li6 0.3165 0.3165 0.5000
Li7 0.3333 0.6667 0.1361
Li8 0.3333 0.6667 0.6361
Li9 0.4159 0.0000 0.3572
Li10 0.4159 0.4159 0.8572
Li11 0.5841 0.0000 0.8572
Li12 0.5841 0.5841 0.3572
Li13 0.6667 0.3333 0.1361
Li14 0.6667 0.3333 0.6361
Li15 0.6835 0.0000 0.5000
Li16 0.6835 0.6835 0.0000
Hf1 0.0000 0.0000 0.2288
Hf2 0.0000 0.0000 0.7288
O1 0.0000 0.0000 0.4098
O2 0.0000 0.0000 0.9098
O3 0.0000 0.3283 0.1804
O4 0.0000 0.6717 0.6804
O5 0.3283 0.0000 0.1804
O6 0.3283 0.3283 0.6804
O7 0.3333 0.6667 0.4448
O8 0.3333 0.6667 0.9448
O9 0.6667 0.3333 0.4448
O10 0.6667 0.3333 0.9448
O11 0.6717 0.0000 0.6804
O12 0.6717 0.6717 0.1804

Main lines, most intense first (10° ≤ 2θ ≤ 90°):
2θ (°), I_rel
24.25, 100.0
17.90, 90.4
16.22, 35.3
31.27, 32.4
37.59, 29.5
39.96, 27.5


Record 6
Structure and theoretical PXRD pattern of Li4HfO4 (a GGA-PBE-relaxed structure; Cu Kα X-rays).
Lines closer than 0.1° are merged.

Crystal structure
abc: 5.5719 5.5719 6.3999
angles: 90.00 90.00 84.44
Positions (direct):
Li1 0.0977 0.6170 0.7500
Li2 0.3433 0.3433 0.0000
Li3 0.3433 0.3433 0.5000
Li4 0.3830 0.9023 0.7500
Li5 0.6170 0.0977 0.2500
Li6 0.6567 0.6567 0.0000
Li7 0.6567 0.6567 0.5000
Li8 0.9023 0.3830 0.2500
Hf1 0.1546 0.8454 0.2500
Hf2 0.8454 0.1546 0.7500
O1 0.1857 0.2261 0.7500
O2 0.2261 0.1857 0.2500
O3 0.2978 0.7022 0.5073
O4 0.2978 0.7022 0.9927
O5 0.7022 0.2978 0.0073
O6 0.7022 0.2978 0.4927
O7 0.7739 0.8143 0.7500
O8 0.8143 0.7739 0.2500

Main lines, most intense first (10° ≤ 2θ ≤ 90°):
2θ (°), I_rel
21.20, 100.0
15.98, 42.7
32.29, 42.4
27.60, 41.0
37.59, 40.4
21.54, 38.6